Cu7Ag2: simulated powder diffraction line list (λ = 1.5418 Å (Cu Kα)), based on a PBE-relaxed structure.
Kinematic intensities with the Lorentz-polarization factor, no thermal factor.

Cell and atoms:
```
data_Cu7Ag2
_chemical_formula_sum 'Cu14 Ag4'
_symmetry_space_group_name_H-M 'C 1 2/m 1'
_symmetry_Int_Tables_number 12
_cell_length_a 8.8749
_cell_length_b 2.7152
_cell_length_c 10.7495
_cell_angle_alpha 90.00
_cell_angle_beta 113.59
_cell_angle_gamma 90.00
loop_
_symmetry_equiv_pos_as_xyz
'x,y,z'
'-x,-y,-z'
'-x,y,-z'
'x,-y,z'
'x+1/2,y+1/2,z'
'-x+1/2,-y+1/2,-z'
'-x+1/2,y+1/2,-z'
'x+1/2,-y+1/2,z'
loop_
_atom_site_label
_atom_site_type_symbol
_atom_site_fract_x
_atom_site_fract_y
_atom_site_fract_z
Cu1 Cu 0.0000 0.0000 0.0000
Cu2 Cu 0.1680 0.5000 0.8991
Cu3 Cu 0.1690 0.5000 0.2087
Cu4 Cu 0.1774 0.5000 0.5621
Ag1 Ag 0.0001 0.0000 0.3305
```

Peak list (8 most intense, 10° ≤ 2θ ≤ 80°, sorted by position)
| two_theta | I_rel |
| --- | --- |
| 41.73 | 100 |
| 41.86 | 33 |
| 47.39 | 46 |
| 50.97 | 17 |
| 69.20 | 7 |
| 69.32 | 7 |
| 72.02 | 11 |
| 72.25 | 11 |

***

LaTaBi2Ir2: simulated powder diffraction line list (λ = 1.5418 Å (Cu Kα)), based on a PBE-relaxed structure.
Kinematic intensities with the Lorentz-polarization factor, no thermal factor.

Cell and atoms:
```
data_LaTaBi2Ir2
_chemical_formula_sum 'La2 Ta2 Bi4 Ir4'
_symmetry_space_group_name_H-M 'P m n 21'
_symmetry_Int_Tables_number 31
_cell_length_a 4.6457
_cell_length_b 9.4355
_cell_length_c 6.6397
_cell_angle_alpha 90.00
_cell_angle_beta 90.00
_cell_angle_gamma 90.00
loop_
_symmetry_equiv_pos_as_xyz
'x,y,z'
'-x+1/2,-y,z+1/2'
'-x,y,z'
'x+1/2,-y,z+1/2'
loop_
_atom_site_label
_atom_site_type_symbol
_atom_site_fract_x
_atom_site_fract_y
_atom_site_fract_z
La1 La 0.0000 0.1233 0.0000
Ta1 Ta 0.0000 0.6140 0.0221
Bi1 Bi 0.0000 0.1361 0.4942
Bi2 Bi 0.0000 0.6249 0.5354
Ir1 Ir 0.0000 0.3975 0.2841
Ir2 Ir 0.0000 0.8376 0.2261
```

Peak list (8 most intense, 10° ≤ 2θ ≤ 80°, sorted by position)
| two_theta | I_rel |
| --- | --- |
| 23.13 | 23 |
| 23.37 | 23 |
| 26.91 | 24 |
| 38.15 | 23 |
| 38.40 | 100 |
| 38.77 | 28 |
| 55.52 | 16 |
| 69.94 | 18 |

***

Lu5Sb3: simulated powder diffraction line list (λ = 1.5418 Å (Cu Kα)), based on a PBE-relaxed structure.
Kinematic intensities with the Lorentz-polarization factor, no thermal factor.

Cell and atoms:
```
data_Lu5Sb3
_chemical_formula_sum 'Lu20 Sb12'
_symmetry_space_group_name_H-M 'P n m a'
_symmetry_Int_Tables_number 62
_cell_length_a 7.9300
_cell_length_b 9.1482
_cell_length_c 11.5658
_cell_angle_alpha 90.00
_cell_angle_beta 90.00
_cell_angle_gamma 90.00
loop_
_symmetry_equiv_pos_as_xyz
'x,y,z'
'-x,-y,-z'
'-x+1/2,-y,z+1/2'
'x+1/2,y,-z+1/2'
'x+1/2,-y+1/2,-z+1/2'
'-x+1/2,y+1/2,z+1/2'
'-x,y+1/2,-z'
'x,-y+1/2,z'
loop_
_atom_site_label
_atom_site_type_symbol
_atom_site_fract_x
_atom_site_fract_y
_atom_site_fract_z
Lu1 Lu 0.0269 0.2500 0.0097
Lu2 Lu 0.1450 0.7500 0.2849
Lu3 Lu 0.1861 0.2500 0.2807
Lu4 Lu 0.1945 0.0619 0.5607
Sb1 Sb 0.0664 0.0030 0.8264
Sb2 Sb 0.0897 0.7500 0.5412
```

Peak list (8 most intense, 10° ≤ 2θ ≤ 80°, sorted by position)
| two_theta | I_rel |
| --- | --- |
| 30.84 | 67 |
| 32.40 | 100 |
| 32.97 | 51 |
| 33.69 | 69 |
| 34.82 | 27 |
| 36.77 | 23 |
| 39.39 | 31 |
| 62.53 | 20 |

***

PrGeHO4: simulated powder diffraction line list (λ = 1.5418 Å (Cu Kα)), based on a PBE-relaxed structure.
Kinematic intensities with the Lorentz-polarization factor, no thermal factor.

Cell and atoms:
```
data_PrGeHO4
_chemical_formula_sum 'Pr4 Ge4 H4 O16'
_symmetry_space_group_name_H-M 'P 1 21/c 1'
_symmetry_Int_Tables_number 14
_cell_length_a 7.9762
_cell_length_b 6.7479
_cell_length_c 7.1949
_cell_angle_alpha 90.00
_cell_angle_beta 111.37
_cell_angle_gamma 90.00
loop_
_symmetry_equiv_pos_as_xyz
'x,y,z'
'-x,-y,-z'
'-x,y+1/2,-z+1/2'
'x,-y+1/2,z+1/2'
loop_
_atom_site_label
_atom_site_type_symbol
_atom_site_fract_x
_atom_site_fract_y
_atom_site_fract_z
Pr1 Pr 0.2245 0.1333 0.1160
Ge1 Ge 0.2395 0.6144 0.1304
H1 H 0.4314 0.6647 0.8710
O1 O 0.0820 0.6962 0.5501
O2 O 0.2132 0.0660 0.7912
O3 O 0.2856 0.0237 0.4482
O4 O 0.4482 0.7482 0.7650
```

Peak list (8 most intense, 10° ≤ 2θ ≤ 80°, sorted by position)
| two_theta | I_rel |
| --- | --- |
| 23.96 | 100 |
| 24.86 | 97 |
| 29.65 | 44 |
| 30.12 | 43 |
| 33.10 | 29 |
| 33.89 | 46 |
| 35.14 | 46 |
| 46.52 | 23 |

***

Li4Cu: simulated powder diffraction line list (λ = 1.5418 Å (Cu Kα)), based on a PBE-relaxed structure.
Kinematic intensities with the Lorentz-polarization factor, no thermal factor.

Cell and atoms:
```
data_Li4Cu
_chemical_formula_sum 'Li16 Cu4'
_symmetry_space_group_name_H-M 'I m m a'
_symmetry_Int_Tables_number 74
_symmetry_space_group_name_Hall '-I 2b 2'
_cell_length_a 4.2093
_cell_length_b 5.3026
_cell_length_c 13.1711
_cell_angle_alpha 90.00
_cell_angle_beta 90.00
_cell_angle_gamma 90.00
loop_
_atom_site_label
_atom_site_type_symbol
_atom_site_fract_x
_atom_site_fract_y
_atom_site_fract_z
Li1 Li 0.0000 0.0000 0.0000
Li2 Li 0.0000 0.0153 0.1986
Li3 Li 0.0000 0.2500 0.5956
Cu1 Cu 0.0000 0.2500 0.3914
```

Peak list (8 most intense, 10° ≤ 2θ ≤ 80°, sorted by position)
| two_theta | I_rel |
| --- | --- |
| 18.03 | 79 |
| 22.17 | 69 |
| 26.36 | 57 |
| 27.08 | 30 |
| 30.32 | 100 |
| 40.39 | 44 |
| 40.80 | 49 |
| 43.84 | 26 |

***

Sm3Zn2Si4Au2: simulated powder diffraction line list (λ = 1.5418 Å (Cu Kα)), based on a PBE-relaxed structure.
Kinematic intensities with the Lorentz-polarization factor, no thermal factor.

Cell and atoms:
```
data_Sm3Zn2Si4Au2
_chemical_formula_sum 'Sm6 Zn4 Si8 Au4'
_symmetry_space_group_name_H-M 'I m m m'
_symmetry_Int_Tables_number 71
_symmetry_space_group_name_Hall '-I 2 2'
_cell_length_a 4.2067
_cell_length_b 4.2087
_cell_length_c 24.7225
_cell_angle_alpha 90.00
_cell_angle_beta 90.00
_cell_angle_gamma 90.00
loop_
_atom_site_label
_atom_site_type_symbol
_atom_site_fract_x
_atom_site_fract_y
_atom_site_fract_z
Sm1 Sm 0.0000 0.0000 0.0000
Sm2 Sm 0.0000 0.5000 0.3552
Zn1 Zn 0.0000 0.5000 0.0941
Si1 Si 0.0000 0.0000 0.4524
Si2 Si 0.0000 0.5000 0.1897
Au1 Au 0.0000 0.0000 0.2507
```

Peak list (8 most intense, 10° ≤ 2θ ≤ 80°, sorted by position)
| two_theta | I_rel |
| --- | --- |
| 23.75 | 14 |
| 28.89 | 16 |
| 33.11 | 24 |
| 33.42 | 100 |
| 37.28 | 12 |
| 42.99 | 35 |
| 52.63 | 12 |
| 72.69 | 21 |

***

TbYZn2Sn2: simulated powder diffraction line list (λ = 1.5418 Å (Cu Kα)), based on a PBE-relaxed structure.
Kinematic intensities with the Lorentz-polarization factor, no thermal factor.

Cell and atoms:
```
data_TbYZn2Sn2
_chemical_formula_sum 'Tb2 Y2 Zn4 Sn4'
_symmetry_space_group_name_H-M 'P 63/m m c'
_symmetry_Int_Tables_number 194
_symmetry_space_group_name_Hall '-P 6c 2c'
_cell_length_a 4.5119
_cell_length_b 4.5119
_cell_length_c 15.8247
_cell_angle_alpha 90.00
_cell_angle_beta 90.00
_cell_angle_gamma 120.00
loop_
_atom_site_label
_atom_site_type_symbol
_atom_site_fract_x
_atom_site_fract_y
_atom_site_fract_z
Tb1 Tb 0.0000 0.0000 0.2500
Y1 Y 0.0000 0.0000 0.0000
Zn1 Zn 0.3333 0.6667 0.1591
Sn1 Sn 0.3333 0.6667 0.6137
```

Peak list (8 most intense, 10° ≤ 2θ ≤ 80°, sorted by position)
| two_theta | I_rel |
| --- | --- |
| 28.43 | 20 |
| 32.20 | 100 |
| 39.96 | 66 |
| 46.40 | 19 |
| 52.22 | 26 |
| 62.44 | 17 |
| 67.72 | 23 |
| 72.58 | 11 |

***

Zn3As2H8O12: simulated powder diffraction line list (λ = 1.5418 Å (Cu Kα)), based on a PBE-relaxed structure.
Kinematic intensities with the Lorentz-polarization factor, no thermal factor.

Cell and atoms:
```
data_Zn3As2H8O12
_chemical_formula_sum 'Zn3 As2 H8 O12'
_symmetry_space_group_name_H-M 'P -1'
_symmetry_Int_Tables_number 2
_cell_length_a 5.3469
_cell_length_b 5.9168
_cell_length_c 7.5886
_cell_angle_alpha 92.38
_cell_angle_beta 94.85
_cell_angle_gamma 91.12
loop_
_symmetry_equiv_pos_as_xyz
'x,y,z'
'-x,-y,-z'
loop_
_atom_site_label
_atom_site_type_symbol
_atom_site_fract_x
_atom_site_fract_y
_atom_site_fract_z
Zn1 Zn 0.0000 0.0000 0.0000
Zn2 Zn 0.3181 0.2401 0.3998
As1 As 0.1595 0.7373 0.3683
H1 H 0.2480 0.7722 0.7731
H2 H 0.2514 0.4027 0.0317
H3 H 0.2724 0.3077 0.8314
H4 H 0.4075 0.7704 0.9622
O1 O 0.1528 0.3178 0.6133
O2 O 0.1884 0.9777 0.2472
O3 O 0.2332 0.7613 0.9032
O4 O 0.2833 0.2648 0.9581
O5 O 0.2880 0.5156 0.2595
O6 O 0.3187 0.8111 0.5690
```

Peak list (8 most intense, 10° ≤ 2θ ≤ 80°, sorted by position)
| two_theta | I_rel |
| --- | --- |
| 11.71 | 94 |
| 19.54 | 100 |
| 24.81 | 35 |
| 26.60 | 33 |
| 27.76 | 37 |
| 30.20 | 88 |
| 32.04 | 51 |
| 41.02 | 34 |